Record 1
V2GaS6: computed PXRD pattern (Cu Kα, 1.54184 Å), based on a DFT-relaxed cell (GGA-PBE, Alexandria).
Kinematic intensities with the Lorentz-polarization factor, no thermal factor.

Principal peaks in the range 5° ≤ 2θ ≤ 70°, most intense first:
2θ/deg  I (rel.)
22.00  100
44.31  74
34.43  51
55.25  41
44.86  33
30.55  27
35.11  19
53.81  14
58.82  10
57.75  10
50.51  8
69.83  8

Structural model:
a = 5.7144 Å, b = 5.7144 Å, c = 10.2224 Å
α = 90.00°, β = 90.00°, γ = 90.00°
Fractional positions:
V1 0.0000 0.0000 0.1533
V2 0.0000 0.0000 0.8467
V3 0.5000 0.5000 0.3467
V4 0.5000 0.5000 0.6533
Ga1 0.0000 0.0000 0.5000
Ga2 0.5000 0.5000 0.0000
S1 0.1994 0.1994 0.3243
S2 0.1994 0.1994 0.6757
S3 0.1998 0.1998 0.0000
S4 0.3002 0.6998 0.5000
S5 0.3006 0.6994 0.1757
S6 0.3006 0.6994 0.8243
S7 0.6994 0.3006 0.1757
S8 0.6994 0.3006 0.8243
S9 0.6998 0.3002 0.5000
S10 0.8002 0.8002 0.0000
S11 0.8006 0.8006 0.3243
S12 0.8006 0.8006 0.6757



Record 2
Ag4S2I: computed PXRD pattern (Cu Kα, 1.54184 Å), based on a DFT-relaxed cell (GGA-PBE, Alexandria).
Kinematic intensities with the Lorentz-polarization factor, no thermal factor.

Principal peaks in the range 5° ≤ 2θ ≤ 70°, most intense first:
2θ/deg  I (rel.)
26.68  100
45.77  99
32.21  89
25.62  87
28.85  78
34.11  56
37.47  54
44.03  52
29.67  51
44.70  45
45.40  40
38.96  38

Structural model:
a = 12.0467 Å, b = 3.9684 Å, c = 7.2146 Å
α = 90.00°, β = 90.00°, γ = 90.00°
Fractional positions:
Ag1 0.0000 0.0000 0.0000
Ag2 0.1175 0.5000 0.4617
Ag3 0.2500 0.5000 0.8051
Ag4 0.3825 0.5000 0.4617
Ag5 0.5000 0.0000 0.0000
Ag6 0.6175 0.5000 0.5383
Ag7 0.7500 0.5000 0.1949
Ag8 0.8825 0.5000 0.5383
S1 0.0506 0.5000 0.7954
S2 0.4494 0.5000 0.7954
S3 0.5506 0.5000 0.2046
S4 0.9494 0.5000 0.2046
I1 0.2500 0.0000 0.2546
I2 0.7500 0.0000 0.7454



Record 3
KB5H8O12: computed PXRD pattern (Cu Kα, 1.54184 Å), based on a DFT-relaxed cell (GGA-PBE, Alexandria).
Kinematic intensities with the Lorentz-polarization factor, no thermal factor.

Principal peaks in the range 5° ≤ 2θ ≤ 70°, most intense first:
2θ/deg  I (rel.)
26.34  100
25.07  99
16.10  70
32.11  36
41.17  24
41.43  22
45.39  20
38.72  16
35.72  16
42.99  16
27.33  15
14.79  15

Structural model:
a = 11.1488 Å, b = 7.2050 Å, c = 7.2050 Å
α = 99.63°, β = 90.00°, γ = 90.00°
Fractional positions:
K1 0.0000 0.0000 0.0000
K2 0.5000 0.5000 0.5000
B1 0.0000 0.5880 0.5880
B2 0.1898 0.7743 0.5848
B3 0.2038 0.4378 0.5578
B4 0.2962 0.9378 0.0578
B5 0.3102 0.2743 0.0848
B6 0.5000 0.0880 0.0880
B7 0.6898 0.0848 0.2743
B8 0.7038 0.0578 0.9378
B9 0.7962 0.5578 0.4378
B10 0.8102 0.5848 0.7743
H1 0.0111 0.9686 0.4819
H2 0.0194 0.1888 0.4748
H3 0.1614 0.4278 0.0845
H4 0.2491 0.1645 0.5523
H5 0.2509 0.6645 0.0523
H6 0.3386 0.9278 0.5845
H7 0.4806 0.6888 0.9748
H8 0.4889 0.4686 0.9819
H9 0.5111 0.9819 0.4686
H10 0.5194 0.9748 0.6888
H11 0.6614 0.5845 0.9278
H12 0.7491 0.0523 0.6645
H13 0.7509 0.5523 0.1645
H14 0.8386 0.0845 0.4278
H15 0.9806 0.4748 0.1888
H16 0.9889 0.4819 0.9686
O1 0.0175 0.4138 0.0686
O2 0.0672 0.7680 0.5956
O3 0.0815 0.4225 0.5658
O4 0.2182 0.7901 0.0398
O5 0.2410 0.1123 0.0654
O6 0.2480 0.9430 0.5927
O7 0.2520 0.4430 0.0927
O8 0.2590 0.6123 0.5654
O9 0.2818 0.2901 0.5398
O10 0.4185 0.9225 0.0658
O11 0.4328 0.2680 0.0956
O12 0.4825 0.9138 0.5686
O13 0.5175 0.5686 0.9138
O14 0.5672 0.0956 0.2680
O15 0.5815 0.0658 0.9225
O16 0.7182 0.5398 0.2901
O17 0.7410 0.5654 0.6123
O18 0.7480 0.0927 0.4430
O19 0.7520 0.5927 0.9430
O20 0.7590 0.0654 0.1123
O21 0.7818 0.0398 0.7901
O22 0.9185 0.5658 0.4225
O23 0.9328 0.5956 0.7680
O24 0.9825 0.0686 0.4138



Record 4
LaSc4Ga4: computed PXRD pattern (Cu Kα, 1.54184 Å), based on a DFT-relaxed cell (GGA-PBE, Alexandria).
Kinematic intensities with the Lorentz-polarization factor, no thermal factor.

Principal peaks in the range 5° ≤ 2θ ≤ 70°, most intense first:
2θ/deg  I (rel.)
31.84  100
28.07  92
34.70  54
40.36  45
35.40  37
40.97  29
45.64  24
54.45  23
50.61  22
19.52  18
66.36  18
21.96  16

Structural model:
a = 8.8890 Å, b = 8.8890 Å, c = 5.2919 Å
α = 90.00°, β = 90.00°, γ = 90.00°
Fractional positions:
La1 0.2500 0.2500 0.2500
La2 0.7500 0.7500 0.7500
Sc1 0.1087 0.8428 0.6334
Sc2 0.1572 0.6087 0.1334
Sc3 0.3428 0.8913 0.1334
Sc4 0.3913 0.6572 0.6334
Sc5 0.6087 0.3428 0.3666
Sc6 0.6572 0.1087 0.8666
Sc7 0.8428 0.3913 0.8666
Sc8 0.8913 0.1572 0.3666
Ga1 0.0030 0.8832 0.1439
Ga2 0.1168 0.5030 0.6439
Ga3 0.3832 0.9970 0.6439
Ga4 0.4970 0.6168 0.1439
Ga5 0.5030 0.3832 0.8561
Ga6 0.6168 0.0030 0.3561
Ga7 0.8832 0.4970 0.3561
Ga8 0.9970 0.1168 0.8561



Record 5
Ag2Te3Se4: computed PXRD pattern (Cu Kα, 1.54184 Å), based on a DFT-relaxed cell (GGA-PBE, Alexandria).
Kinematic intensities with the Lorentz-polarization factor, no thermal factor.

Principal peaks in the range 5° ≤ 2θ ≤ 70°, most intense first:
2θ/deg  I (rel.)
28.98  100
22.20  65
23.60  56
42.81  50
42.63  47
35.94  44
24.28  43
31.99  41
32.16  38
45.27  35
54.11  30
31.19  29

Structural model:
a = 8.5084 Å, b = 8.5084 Å, c = 7.8305 Å
α = 105.33°, β = 105.33°, γ = 82.23°
Fractional positions:
Ag1 0.1171 0.3171 0.3617
Ag2 0.3171 0.1171 0.8617
Ag3 0.6829 0.8829 0.1383
Ag4 0.8829 0.6829 0.6383
Te1 0.0106 0.2578 0.9707
Te2 0.2578 0.0106 0.4707
Te3 0.3895 0.6105 0.7500
Te4 0.6105 0.3895 0.2500
Te5 0.7422 0.9894 0.5293
Te6 0.9894 0.7422 0.0293
Se1 0.1436 0.6491 0.4943
Se2 0.2230 0.4458 0.9794
Se3 0.3509 0.8564 0.0057
Se4 0.4458 0.2230 0.4794
Se5 0.5542 0.7770 0.5206
Se6 0.6491 0.1436 0.9943
Se7 0.7770 0.5542 0.0206
Se8 0.8564 0.3509 0.5057



Record 6
Nb3Mo: computed PXRD pattern (Cu Kα, 1.54184 Å), based on a DFT-relaxed cell (GGA-PBE, Alexandria).
Kinematic intensities with the Lorentz-polarization factor, no thermal factor.

Principal peaks in the range 5° ≤ 2θ ≤ 70°, most intense first:
2θ/deg  I (rel.)
38.92  100
56.30  11
56.04  6

Structural model:
a = 4.6215 Å, b = 4.6215 Å, c = 3.2821 Å
α = 90.00°, β = 90.00°, γ = 90.00°
Fractional positions:
Nb1 0.0000 0.0000 0.0000
Nb2 0.0000 0.5000 0.5000
Nb3 0.5000 0.0000 0.5000
Mo1 0.5000 0.5000 0.0000